1.
# TmMgSe3
Theoretical X-ray powder pattern, Cu Kα X-rays. Input: the PBE geometry in the Materials Project.
Neutral-atom scattering factors, no anomalous dispersion.

The 10 most intense peaks (2θ = 10–90°), sorted by position:
| 2theta | I/Imax |
| --- | --- |
| 13.9 | 31 |
| 15.6 | 18 |
| 17.6 | 23 |
| 23.9 | 22 |
| 29.5 | 100 |
| 35.5 | 16 |
| 38.5 | 69 |
| 45.8 | 43 |
| 50.5 | 19 |
| 61.3 | 16 |

Cell and atoms:
Cell lengths 6.8699, 6.8699, 19.1312 Å; angles 90.00, 90.00, 120.00 degrees
Space group R-3 (No. 148, hexagonal axes)
Unique sites:
Tm 0.0000 0.0000 0.1538
Mg 0.0000 0.0000 0.3407
Se 0.0114 0.6485 0.9163



2.
# Tm2MgSe4
Theoretical X-ray powder pattern, Cu Kα X-rays. Input: the PBE geometry in the Materials Project.
Neutral-atom scattering factors, no anomalous dispersion.

The 10 most intense peaks (2θ = 10–90°), sorted by position:
| 2theta | I/Imax |
| --- | --- |
| 13.2 | 68 |
| 25.5 | 54 |
| 30.9 | 100 |
| 40.5 | 28 |
| 44.2 | 86 |
| 46.4 | 18 |
| 54.9 | 26 |
| 64.3 | 14 |
| 73.1 | 32 |
| 81.4 | 28 |

Cell and atoms:
Cell lengths 11.5838, 11.5838, 11.5838 Å; angles 90.00, 90.00, 90.00 degrees
Space group Fd-3m (No. 227, origin choice 2)
Unique sites:
Tm 0.0000 0.0000 0.0000
Mg 0.1250 0.1250 0.6250
Se 0.0054 0.0054 0.2446



3.
# Tm2MgSe4
Theoretical X-ray powder pattern, Cu Kα X-rays. Input: the PBE geometry in the Materials Project.
Neutral-atom scattering factors, no anomalous dispersion.

The 10 most intense peaks (2θ = 10–90°), sorted by position:
| 2theta | I/Imax |
| --- | --- |
| 14.5 | 34 |
| 18.1 | 47 |
| 23.1 | 20 |
| 25.6 | 20 |
| 26.3 | 26 |
| 28.5 | 39 |
| 28.6 | 20 |
| 36.8 | 100 |
| 44.4 | 26 |
| 44.7 | 35 |

Cell and atoms:
Cell lengths 14.0292, 8.1561, 6.7938 Å; angles 90.00, 90.00, 90.00 degrees
Space group Pnma (No. 62)
Unique sites:
Tm 0.0000 0.0000 0.0000
Tm 0.2351 0.2500 0.4960
Mg 0.0923 0.7500 0.5809
Se 0.0743 0.2500 0.2486
Se 0.0916 0.7500 0.2088
Se 0.1694 0.5032 0.7611



4.
# Tm2MgSe4
Theoretical X-ray powder pattern, Cu Kα X-rays. Input: the PBE geometry in the Materials Project.
Neutral-atom scattering factors, no anomalous dispersion.

The 10 most intense peaks (2θ = 10–90°), sorted by position:
| 2theta | I/Imax |
| --- | --- |
| 13.2 | 37 |
| 13.7 | 76 |
| 23.0 | 66 |
| 27.5 | 36 |
| 29.7 | 25 |
| 33.0 | 51 |
| 34.2 | 100 |
| 36.2 | 61 |
| 47.1 | 35 |
| 49.6 | 27 |

Cell and atoms:
Cell lengths 8.0650, 7.7248, 11.9454 Å; angles 90.00, 90.00, 90.00 degrees
Space group Pnma (No. 62)
Unique sites:
Tm 0.0508 0.2500 0.0165
Tm 0.0596 0.7500 0.3097
Mg 0.1719 0.2500 0.4009
Se 0.1204 0.7500 0.5399
Se 0.1206 0.5052 0.8410
Se 0.2374 0.7500 0.1132



5.
# Tm2MgSe4
Theoretical X-ray powder pattern, Cu Kα X-rays. Input: the PBE geometry in the Materials Project.
Neutral-atom scattering factors, no anomalous dispersion.

The 10 most intense peaks (2θ = 10–90°), sorted by position:
| 2theta | I/Imax |
| --- | --- |
| 14.4 | 37 |
| 20.8 | 29 |
| 25.0 | 36 |
| 25.4 | 27 |
| 32.2 | 56 |
| 33.1 | 57 |
| 33.2 | 100 |
| 38.6 | 79 |
| 39.4 | 45 |
| 49.4 | 30 |

Cell and atoms:
Cell lengths 8.5397, 8.5397, 8.8311 Å; angles 90.00, 90.00, 90.00 degrees
Space group I-42d (No. 122)
Unique sites:
Tm 0.1319 0.2500 0.1250
Mg 0.0000 0.0000 0.5000
Se 0.0649 0.1949 0.8144



6.
# YMgSe3
Theoretical X-ray powder pattern, Cu Kα X-rays. Input: the PBE geometry in the Materials Project.
Neutral-atom scattering factors, no anomalous dispersion.

The 10 most intense peaks (2θ = 10–90°), sorted by position:
| 2theta | I/Imax |
| --- | --- |
| 14.8 | 61 |
| 15.8 | 37 |
| 25.6 | 100 |
| 30.9 | 64 |
| 33.4 | 82 |
| 35.0 | 96 |
| 38.8 | 34 |
| 41.4 | 63 |
| 45.5 | 46 |
| 47.2 | 34 |

Cell and atoms:
Cell lengths 8.3123, 11.9607, 6.7325 Å; angles 90.00, 120.77, 90.00 degrees
Space group C2/m (No. 12)
Unique sites:
Y 0.2234 0.0000 0.2275
Mg 0.0000 0.3329 0.0000
Se 0.0494 0.1539 0.8041
Se 0.0841 0.5000 0.2917



7.
# YMgSe3
Theoretical X-ray powder pattern, Cu Kα X-rays. Input: the PBE geometry in the Materials Project.
Neutral-atom scattering factors, no anomalous dispersion.

The 10 most intense peaks (2θ = 10–90°), sorted by position:
| 2theta | I/Imax |
| --- | --- |
| 17.4 | 15 |
| 29.3 | 100 |
| 35.3 | 10 |
| 38.2 | 53 |
| 45.4 | 37 |
| 50.0 | 21 |
| 55.0 | 14 |
| 60.8 | 11 |
| 76.0 | 12 |
| 79.1 | 10 |

Cell and atoms:
Cell lengths 6.9139, 6.9139, 19.3044 Å; angles 90.00, 90.00, 120.00 degrees
Space group R-3 (No. 148, hexagonal axes)
Unique sites:
Y 0.0000 0.0000 0.1526
Mg 0.0000 0.0000 0.3387
Se 0.0062 0.6400 0.9164



8.
# Mg2Si3
Theoretical X-ray powder pattern, Cu Kα X-rays. Input: the PBE geometry in the Materials Project.
Neutral-atom scattering factors, no anomalous dispersion.

The 10 most intense peaks (2θ = 10–90°), sorted by position:
| 2theta | I/Imax |
| --- | --- |
| 26.7 | 56 |
| 31.5 | 66 |
| 32.8 | 59 |
| 33.5 | 52 |
| 33.8 | 54 |
| 35.2 | 63 |
| 40.4 | 83 |
| 41.0 | 75 |
| 45.6 | 81 |
| 46.7 | 100 |

Cell and atoms:
Cell lengths 11.7236, 3.8881, 17.1126 Å; angles 90.00, 97.17, 90.00 degrees
Space group Cm (No. 8)
Unique sites:
Mg 0.0000 0.0000 0.0000
Mg 0.0102 0.5000 0.5015
Mg 0.0411 0.5000 0.3249
Mg 0.2169 0.5000 0.0008
Mg 0.2484 0.5000 0.6722
Mg 0.2884 0.5000 0.5008
Mg 0.3974 0.5000 0.8264
Mg 0.4627 0.5000 0.1744
Si 0.1301 0.5000 0.7962
Si 0.1348 0.0000 0.4271
Si 0.1412 0.0000 0.8791
Si 0.1603 0.0000 0.5713
Si 0.1709 0.5000 0.2038
Si 0.1832 0.0000 0.1213
Si 0.3239 0.0000 0.3839
Si 0.3382 0.5000 0.3009
Si 0.3463 0.0000 0.9298
Si 0.3695 0.0000 0.0733
Si 0.4552 0.0000 0.7034
Si 0.4746 0.5000 0.6196



9.
# Mg5Si6
Theoretical X-ray powder pattern, Cu Kα X-rays. Input: the PBE geometry in the Materials Project.
Neutral-atom scattering factors, no anomalous dispersion.

The 10 most intense peaks (2θ = 10–90°), sorted by position:
| 2theta | I/Imax |
| --- | --- |
| 32.6 | 84 |
| 34.2 | 40 |
| 35.5 | 55 |
| 36.1 | 100 |
| 36.5 | 54 |
| 37.0 | 57 |
| 37.7 | 68 |
| 39.0 | 41 |
| 41.5 | 86 |
| 43.9 | 48 |

Cell and atoms:
Cell lengths 4.3543, 7.3756, 12.7995 Å; angles 97.19, 91.23, 92.17 degrees
Space group P1 (No. 1)
Unique sites:
Mg 0.0000 0.0000 0.0000
Mg 0.0016 0.3829 0.8912
Mg 0.0038 0.0069 0.7229
Mg 0.0167 0.8028 0.2211
Mg 0.0271 0.9879 0.4681
Mg 0.0791 0.2378 0.2512
Mg 0.4867 0.7207 0.5871
Mg 0.4919 0.6638 0.0300
Mg 0.9670 0.5497 0.4137
Mg 0.9820 0.3836 0.6141
Si 0.2714 0.7683 0.8413
Si 0.4570 0.3147 0.7506
Si 0.4610 0.3125 0.4561
Si 0.4846 0.7644 0.3764
Si 0.4979 0.2801 0.0469
Si 0.5013 0.0110 0.1378
Si 0.5233 0.5192 0.2320
Si 0.5273 0.0963 0.8747
Si 0.5297 0.1047 0.5955
Si 0.5867 0.0593 0.3256
Si 0.7330 0.6292 0.7721
Si 0.9911 0.4604 0.1050



10.
# Mg5Si6
Theoretical X-ray powder pattern, Cu Kα X-rays. Input: the PBE geometry in the Materials Project.
Neutral-atom scattering factors, no anomalous dispersion.

The 10 most intense peaks (2θ = 10–90°), sorted by position:
| 2theta | I/Imax |
| --- | --- |
| 31.0 | 21 |
| 35.7 | 69 |
| 35.8 | 34 |
| 36.2 | 69 |
| 36.8 | 41 |
| 38.0 | 64 |
| 39.2 | 56 |
| 43.6 | 100 |
| 45.6 | 21 |
| 50.1 | 35 |

Cell and atoms:
Cell lengths 4.1512, 8.0949, 12.8223 Å; angles 107.49, 97.47, 90.48 degrees
Space group P1 (No. 1)
Unique sites:
Mg 0.0000 0.0000 0.0000
Mg 0.0080 0.5932 0.9989
Mg 0.0985 0.3898 0.1789
Mg 0.1364 0.8268 0.2694
Mg 0.1970 0.2910 0.3832
Mg 0.2623 0.0237 0.5185
Mg 0.3154 0.5071 0.6342
Mg 0.3811 0.9751 0.7666
Mg 0.5074 0.2730 0.0005
Mg 0.7919 0.7610 0.5806
Si 0.2207 0.6562 0.4340
Si 0.4306 0.4333 0.8293
Si 0.4500 0.7518 0.9016
Si 0.5337 0.8608 0.1026
Si 0.5899 0.5958 0.1542
Si 0.6122 0.1829 0.2125
Si 0.6836 0.5418 0.3369
Si 0.6881 0.0542 0.3652
Si 0.7745 0.2913 0.5385
Si 0.8261 0.1127 0.6612
Si 0.9054 0.7075 0.7872
Si 0.9429 0.2464 0.8584



What is the formula in the tenth record? Mg5Si6



Copy entry 7 word for word.
# YMgSe3
Theoretical X-ray powder pattern, Cu Kα X-rays. Input: the PBE geometry in the Materials Project.
Neutral-atom scattering factors, no anomalous dispersion.

The 10 most intense peaks (2θ = 10–90°), sorted by position:
| 2theta | I/Imax |
| --- | --- |
| 17.4 | 15 |
| 29.3 | 100 |
| 35.3 | 10 |
| 38.2 | 53 |
| 45.4 | 37 |
| 50.0 | 21 |
| 55.0 | 14 |
| 60.8 | 11 |
| 76.0 | 12 |
| 79.1 | 10 |

Cell and atoms:
Cell lengths 6.9139, 6.9139, 19.3044 Å; angles 90.00, 90.00, 120.00 degrees
Space group R-3 (No. 148, hexagonal axes)
Unique sites:
Y 0.0000 0.0000 0.1526
Mg 0.0000 0.0000 0.3387
Se 0.0062 0.6400 0.9164